(1)
This entry pairs a crystal structure of Ta2CrNO5 with its theoretical X-ray powder pattern. Radiation: copper Kα. Structure: a structure optimized by DFT (GGA+U).

Top 10 peaks for 10° ≤ 2θ ≤ 90°, in order of falling intensity:
26.5°, I = 100, (0 1 1)
34.7°, I = 80, (3 0 1)
52.3°, I = 64, (3 2 1)
21.0°, I = 34, (1 0 1)
37.9°, I = 25, (0 0 2)
66.3°, I = 18, (3 3 0)
54.6°, I = 16, (0 2 2)
61.7°, I = 16, (0 3 1)
66.7°, I = 14, (6 1 1)
79.0°, I = 14, (3 2 3)

Cell: 9.2604 4.7489 4.7539 Å, 90.00 90.00 90.00°
Sites, in units of the cell vectors:
Ta: 0.1621 0.2440 0.0000
Ta: 0.3379 0.7560 0.5000
Ta: 0.6621 0.7560 0.5000
Ta: 0.8379 0.2440 0.0000
Cr: 0.0000 0.7478 0.4800
Cr: 0.5000 0.2522 0.9800
N: 0.0000 0.0511 0.1769
N: 0.5000 0.9489 0.6769
O: 0.0000 0.4418 0.7864
O: 0.1689 0.5522 0.2831
O: 0.1698 0.9459 0.6767
O: 0.3302 0.0541 0.1767
O: 0.3311 0.4478 0.7831
O: 0.5000 0.5582 0.2864
O: 0.6689 0.4478 0.7831
O: 0.6698 0.0541 0.1767
O: 0.8302 0.9459 0.6767
O: 0.8311 0.5522 0.2831

***

(2)
This entry pairs a crystal structure of Li7VGeO8 with its theoretical X-ray powder pattern. Radiation: copper Kα. Structure: a structure optimized by DFT (GGA+U).

Top 10 peaks for 10° ≤ 2θ ≤ 90°, in order of falling intensity:
21.5°, I = 100, (1 -1 0)
23.3°, I = 42, (1 0 2)
21.9°, I = 31, (1 1 0)
32.9°, I = 30, (0 0 4)
33.4°, I = 26, (2 0 0)
32.8°, I = 19, (0 2 2)
28.2°, I = 18, (0 2 0)
16.3°, I = 17, (0 0 2)
18.5°, I = 16, (1 0 1)
32.7°, I = 16, (0 2 -2)

Cell: 5.3623 6.3353 10.8734 Å, 90.14 90.19 90.96°
Sites, in units of the cell vectors:
Li: 0.0000 0.0000 0.0000
Li: 0.0007 0.5075 0.5012
Li: 0.1341 0.7495 0.7367
Li: 0.1781 0.9776 0.4983
Li: 0.3696 0.6426 0.3673
Li: 0.4546 0.2781 0.5899
Li: 0.4944 0.4926 0.8266
Li: 0.4974 0.9916 0.8265
Li: 0.6214 0.0032 0.3140
Li: 0.6284 0.2428 0.0862
Li: 0.6985 0.4599 0.3110
Li: 0.8239 0.1388 0.4859
Li: 0.9813 0.7701 0.2383
Li: 0.9922 0.5000 0.0001
V: 0.4873 0.7416 0.0769
V: 0.9831 0.2460 0.7494
Ge: 0.1432 0.2569 0.2495
Ge: 0.6436 0.7488 0.5802
O: 0.0024 0.2509 0.1026
O: 0.0026 0.0456 0.3382
O: 0.0606 0.5000 0.3264
O: 0.0874 0.2512 0.5939
O: 0.0952 0.4695 0.8242
O: 0.1029 0.0295 0.8251
O: 0.1612 0.7510 0.0763
O: 0.4720 0.2447 0.2464
O: 0.5017 0.7390 0.7245
O: 0.5267 0.9672 0.4913
O: 0.5899 0.5099 0.4898
O: 0.5938 0.5208 0.0002
O: 0.5979 0.7332 0.2312
O: 0.6090 0.9618 0.0023
O: 0.6558 0.2422 0.7477
O: 0.9736 0.7747 0.5805